# LiTa2Te4
Computed XRD peak list, copper Kα. Input: a DFT-relaxed cell (PBE, Alexandria).
No peak broadening, texture or thermal motion is included.

Largest 12 diffraction maxima, by angle, 15 to 90 degrees two-theta:
two_theta, I_rel
25.65, 28
31.06, 100
33.92, 9
40.70, 15
44.50, 76
46.65, 14
55.25, 26
57.11, 8
61.87, 7
64.75, 12
73.55, 33
81.96, 25

Structure:
abc: 8.1447 8.1447 8.1447
angles: 60.00 60.00 60.00
Atoms (fractional coordinates):
Li 0.1250 0.1250 0.1250
Li 0.8750 0.8750 0.8750
Ta 0.0000 0.5000 0.5000
Ta 0.5000 0.0000 0.5000
Ta 0.5000 0.5000 0.0000
Ta 0.5000 0.5000 0.5000
Te 0.2539 0.2539 0.2539
Te 0.2539 0.2539 0.7384
Te 0.2539 0.7384 0.2539
Te 0.2616 0.7461 0.7461
Te 0.7384 0.2539 0.2539
Te 0.7461 0.2616 0.7461
Te 0.7461 0.7461 0.2616
Te 0.7461 0.7461 0.7461



# Sm19Y4Er6
Computed XRD peak list, copper Kα. Input: a DFT-relaxed cell (PBE, Alexandria).
No peak broadening, texture or thermal motion is included.

Largest 12 diffraction maxima, by angle, 15 to 90 degrees two-theta:
two_theta, I_rel
26.46, 78
28.33, 82
30.09, 100
34.88, 52
36.35, 97
41.80, 27
46.71, 28
49.03, 23
53.43, 28
59.60, 38
60.59, 27
63.51, 22

Structure:
abc: 10.9133 10.9133 10.9133
angles: 109.47 109.47 109.47
Atoms (fractional coordinates):
Sm 0.0000 0.0000 0.0000
Sm 0.0000 0.2617 0.2617
Sm 0.0000 0.7383 0.7383
Sm 0.0173 0.2174 0.6755
Sm 0.2001 0.9827 0.6582
Sm 0.2174 0.6755 0.0173
Sm 0.2617 0.0000 0.2617
Sm 0.2617 0.2617 0.0000
Sm 0.3245 0.5419 0.3418
Sm 0.3418 0.3245 0.5419
Sm 0.4581 0.7826 0.7999
Sm 0.5419 0.3418 0.3245
Sm 0.6582 0.2001 0.9827
Sm 0.6755 0.0173 0.2174
Sm 0.7383 0.0000 0.7383
Sm 0.7383 0.7383 0.0000
Sm 0.7826 0.7999 0.4581
Sm 0.7999 0.4581 0.7826
Sm 0.9827 0.6582 0.2001
Y 0.0000 0.0000 0.3593
Y 0.0000 0.3593 0.0000
Y 0.3593 0.0000 0.0000
Y 0.6407 0.6407 0.6407
Er 0.1256 0.5000 0.6256
Er 0.3744 0.8744 0.5000
Er 0.5000 0.3744 0.8744
Er 0.5000 0.6256 0.1256
Er 0.6256 0.1256 0.5000
Er 0.8744 0.5000 0.3744



# Pm2NdY6Ho2
Computed XRD peak list, copper Kα. Input: a DFT-relaxed cell (PBE, Alexandria).
No peak broadening, texture or thermal motion is included.

Largest 12 diffraction maxima, by angle, 15 to 90 degrees two-theta:
two_theta, I_rel
16.62, 8
30.53, 24
30.81, 20
31.30, 37
31.97, 100
33.61, 20
44.50, 15
46.59, 16
52.55, 10
56.14, 20
62.01, 14
62.45, 11

Structure:
abc: 6.6739 6.6739 10.6657
angles: 90.03 90.03 129.30
Atoms (fractional coordinates):
Pm 0.1348 0.8652 0.0000
Pm 0.8652 0.1348 0.0000
Nd 0.5000 0.5000 0.5000
Y 0.0009 0.0009 0.2904
Y 0.3455 0.6528 0.7903
Y 0.3472 0.6545 0.2097
Y 0.6528 0.3455 0.7903
Y 0.6545 0.3472 0.2097
Y 0.9991 0.9991 0.7096
Ho 0.2033 0.7967 0.5000
Ho 0.7967 0.2033 0.5000